Entry 1:
# CaLaMn2O6
Computed powder diffraction line list, Cu Kα (weighted mean of Kα1 and Kα2). Input: DFT lattice parameters and positions (GGA+U).
Kinematic intensities with the Lorentz-polarization factor, no thermal factor.

Cell: 5.359 5.397 9.653 Å, 90.00 123.40 90.00°
Fractional positions:
Ca 0.000 0.212 0.000
Ca 0.000 0.788 0.500
La 0.483 0.279 0.499
La 0.483 0.721 0.999
Mn 0.241 0.250 0.750
Mn 0.241 0.750 0.250
Mn 0.740 0.250 0.249
Mn 0.740 0.750 0.749
O 0.060 0.037 0.284
O 0.060 0.963 0.784
O 0.412 0.459 0.210
O 0.412 0.541 0.710
O 0.493 0.036 0.714
O 0.493 0.964 0.214
O 0.575 0.261 0.012
O 0.575 0.739 0.512
O 0.914 0.235 0.487
O 0.914 0.765 0.987
O 0.991 0.462 0.791
O 0.991 0.538 0.291

Peak list (12 most intense, 10 to 80 degrees two-theta, most intense first)
two_theta, d_spacing, I/Imax, (hkl)
32.31, 2.771, 1000, 1 1 1
32.44, 2.760, 958, 1 1 -3
19.82, 4.481, 642, 1 0 0
47.84, 1.901, 609, 2 2 -2
33.20, 2.698, 446, 0 2 0
33.44, 2.679, 444, 2 0 -2
45.00, 2.015, 374, 0 0 4
57.05, 1.614, 315, 0 2 4
58.80, 1.570, 302, 1 3 1
40.25, 2.240, 226, 0 2 2
19.95, 4.451, 220, 1 0 -2
58.98, 1.566, 212, 3 1 -1

Entry 2:
# Rb2LiNd2W4O16
Computed powder diffraction line list, Cu Kα (weighted mean of Kα1 and Kα2). Input: DFT lattice parameters and positions (GGA+U).
Kinematic intensities with the Lorentz-polarization factor, no thermal factor.

Cell: 7.548 7.647 8.122 Å, 88.61 63.97 61.58°
Fractional positions:
Rb 0.000 0.000 0.000
Rb 0.495 0.416 0.594
Li 0.308 0.296 0.270
Nd 0.518 0.953 0.988
Nd 0.961 0.462 0.622
W 0.038 0.893 0.489
W 0.449 0.532 0.103
W 0.537 0.903 0.479
W 0.953 0.509 0.117
O 0.052 0.446 0.862
O 0.142 0.259 0.155
O 0.174 0.592 0.064
O 0.216 0.570 0.385
O 0.271 0.844 0.220
O 0.317 0.827 0.532
O 0.358 0.163 0.452
O 0.454 0.971 0.728
O 0.555 0.252 0.042
O 0.598 0.615 0.879
O 0.705 0.458 0.167
O 0.705 0.812 0.182
O 0.786 0.612 0.420
O 0.805 0.960 0.425
O 0.895 0.823 0.714
O 0.935 0.162 0.577

Peak list (12 most intense, 10 to 80 degrees two-theta, most intense first)
two_theta, d_spacing, I/Imax, (hkl)
28.72, 3.109, 1000, 2 2 0
27.27, 3.270, 544, 0 2 0
25.10, 3.548, 436, 0 0 2
30.83, 2.901, 354, 2 0 0
31.37, 2.851, 252, 0 1 2
16.14, 5.490, 229, 0 1 -1
25.61, 3.478, 219, 0 1 -2
32.62, 2.745, 217, 0 2 -2
50.04, 1.823, 192, 0 1 -4
27.15, 3.284, 186, 2 1 2
32.08, 2.790, 174, 2 2 2
13.54, 6.539, 173, 0 1 0

Entry 3:
# MgMoWO6
Computed powder diffraction line list, Cu Kα (weighted mean of Kα1 and Kα2). Input: DFT lattice parameters and positions (GGA+U).
Kinematic intensities with the Lorentz-polarization factor, no thermal factor.

Cell: 5.224 5.224 5.617 Å, 62.51 62.33 60.08°
Fractional positions:
Mg 0.000 0.000 0.000
Mo 0.793 0.792 0.625
W 0.296 0.295 0.116
O 0.056 0.670 0.865
O 0.146 0.567 0.327
O 0.409 0.054 0.865
O 0.566 0.966 0.328
O 0.673 0.408 0.863
O 0.965 0.145 0.332

Peak list (12 most intense, 10 to 80 degrees two-theta, most intense first)
two_theta, d_spacing, I/Imax, (hkl)
23.29, 3.819, 1000, 1 1 0
34.32, 2.613, 329, 1 2 1
31.97, 2.800, 295, 1 0 -1
52.09, 1.756, 148, 2 1 -1
32.04, 2.794, 147, 1 1 2
47.58, 1.911, 141, 2 0 2
55.20, 1.664, 114, 2 3 1
20.59, 4.313, 114, 1 1 1
60.06, 1.540, 108, 3 1 0
51.96, 1.760, 101, 1 -1 2
18.70, 4.746, 97, 0 0 1
41.86, 2.158, 87, 2 0 0

Entry 4:
# HfMg14CoO16
Computed powder diffraction line list, Cu Kα (weighted mean of Kα1 and Kα2). Input: DFT lattice parameters and positions (GGA+U).
Kinematic intensities with the Lorentz-polarization factor, no thermal factor.

Cell: 4.289 8.642 8.647 Å, 90.00 90.00 90.00°
Fractional positions:
Hf 0.000 0.000 0.000
Mg 0.000 0.000 0.500
Mg 0.000 0.260 0.254
Mg 0.000 0.260 0.746
Mg 0.000 0.500 0.500
Mg 0.000 0.740 0.254
Mg 0.000 0.740 0.746
Mg 0.500 0.000 0.258
Mg 0.500 0.000 0.742
Mg 0.500 0.253 0.500
Mg 0.500 0.267 0.000
Mg 0.500 0.500 0.247
Mg 0.500 0.500 0.753
Mg 0.500 0.733 0.000
Mg 0.500 0.747 0.500
Co 0.000 0.500 0.000
O 0.000 0.000 0.254
O 0.000 0.000 0.746
O 0.000 0.238 0.000
O 0.000 0.247 0.500
O 0.000 0.500 0.264
O 0.000 0.500 0.736
O 0.000 0.753 0.500
O 0.000 0.762 0.000
O 0.500 0.000 0.000
O 0.500 0.000 0.500
O 0.500 0.249 0.248
O 0.500 0.249 0.752
O 0.500 0.500 0.000
O 0.500 0.500 0.500
O 0.500 0.751 0.248
O 0.500 0.751 0.752

Peak list (12 most intense, 10 to 80 degrees two-theta, most intense first)
two_theta, d_spacing, I/Imax, (hkl)
41.80, 2.161, 1000, 0 0 4
10.23, 8.645, 840, 0 0 1
60.86, 1.522, 579, 2 0 4
42.14, 2.144, 495, 2 0 0
36.09, 2.489, 470, 1 2 2
31.15, 2.871, 324, 1 2 1
23.01, 3.865, 315, 0 2 1
20.55, 4.322, 309, 0 2 0
23.15, 3.842, 301, 1 0 1
60.60, 1.528, 289, 0 4 4
76.56, 1.244, 266, 2 4 4
29.34, 3.044, 256, 1 0 2

Entry 5:
# TiVO3
Computed powder diffraction line list, Cu Kα (weighted mean of Kα1 and Kα2). Input: DFT lattice parameters and positions (GGA+U).
Kinematic intensities with the Lorentz-polarization factor, no thermal factor.

Cell: 5.151 5.552 7.622 Å, 83.97 89.78 89.89°
Fractional positions:
Ti 0.000 0.000 0.000
Ti 0.002 0.408 0.711
Ti 0.498 0.506 0.501
Ti 0.995 0.391 0.204
V 0.499 0.898 0.204
V 0.499 0.901 0.702
V 0.500 0.505 0.010
V 0.998 0.011 0.502
O 0.136 0.360 0.948
O 0.155 0.056 0.249
O 0.190 0.686 0.608
O 0.306 0.226 0.602
O 0.332 0.863 0.958
O 0.336 0.542 0.268
O 0.646 0.844 0.447
O 0.669 0.542 0.751
O 0.701 0.195 0.111
O 0.821 0.701 0.103
O 0.834 0.363 0.447
O 0.862 0.052 0.767

Peak list (12 most intense, 10 to 80 degrees two-theta, most intense first)
two_theta, d_spacing, I/Imax, (hkl)
32.39, 2.764, 1000, -1 1 2
34.76, 2.581, 823, 1 1 -2
52.82, 1.733, 671, 1 3 0
23.62, 3.766, 593, 1 1 0
32.23, 2.778, 519, 1 1 2
34.84, 2.575, 405, 2 0 0
52.58, 1.741, 395, 2 2 2
48.33, 1.883, 383, 2 -2 0
23.47, 3.790, 255, 0 0 2
60.95, 1.520, 247, -3 1 2
39.96, 2.256, 238, 1 -2 1
52.41, 1.746, 227, 1 1 4

Entry 6:
# LiFeB2O5
Computed powder diffraction line list, Cu Kα (weighted mean of Kα1 and Kα2). Input: DFT lattice parameters and positions (GGA+U).
Kinematic intensities with the Lorentz-polarization factor, no thermal factor.

Cell: 6.954 9.591 5.718 Å, 90.00 105.94 90.00°
Fractional positions:
Li 0.218 0.075 0.187
Li 0.218 0.425 0.687
Li 0.782 0.575 0.313
Li 0.782 0.925 0.813
Fe 0.246 0.671 0.283
Fe 0.246 0.829 0.783
Fe 0.754 0.171 0.217
Fe 0.754 0.329 0.717
B 0.085 0.118 0.671
B 0.085 0.382 0.171
B 0.452 0.093 0.744
B 0.452 0.407 0.244
B 0.548 0.593 0.756
B 0.548 0.907 0.256
B 0.915 0.618 0.829
B 0.915 0.882 0.329
O 0.068 0.503 0.286
O 0.068 0.997 0.786
O 0.074 0.705 0.930
O 0.074 0.795 0.430
O 0.272 0.169 0.653
O 0.272 0.331 0.153
O 0.377 0.668 0.658
O 0.377 0.832 0.158
O 0.461 0.548 0.238
O 0.461 0.952 0.738
O 0.539 0.048 0.262
O 0.539 0.452 0.762
O 0.623 0.168 0.842
O 0.623 0.332 0.342
O 0.728 0.669 0.847
O 0.728 0.831 0.347
O 0.926 0.205 0.570
O 0.926 0.295 0.070
O 0.932 0.003 0.214
O 0.932 0.497 0.714

Peak list (12 most intense, 10 to 80 degrees two-theta, most intense first)
two_theta, d_spacing, I/Imax, (hkl)
16.16, 5.485, 1000, 1 1 0
32.60, 2.747, 613, 0 0 2
20.13, 4.412, 513, 1 1 -1
33.33, 2.688, 377, 1 3 -1
33.05, 2.710, 237, 2 2 -1
39.87, 2.261, 211, 1 1 2
48.82, 1.865, 203, 3 3 -1
25.39, 3.508, 190, 1 1 1
56.51, 1.628, 129, 3 3 1
46.91, 1.937, 119, 2 4 -1
33.93, 2.642, 103, 0 1 2
53.54, 1.712, 101, 0 2 3